# CeHgSe3
Computed powder XRD pattern, CuKα. Input: a DFT-relaxed cell (GGA-PBE, Alexandria).
No peak broadening, texture or thermal motion is included.

Principal peaks in the range 2θ from 10° to 90°, sorted by position:
- d = 3.830 Å, intensity 26.1, hkl 2 0 -2
- d = 3.697 Å, intensity 51.7, hkl 1 1 -1
- d = 3.568 Å, intensity 34.1, hkl 4 0 0
- d = 3.291 Å, intensity 31.5, hkl 4 0 1
- d = 2.990 Å, intensity 30.9, hkl 0 0 3
- d = 2.965 Å, intensity 100.0, hkl 3 1 1
- d = 2.410 Å, intensity 43.9, hkl 1 1 -3
- d = 2.296 Å, intensity 42.8, hkl 5 1 -1
- d = 2.185 Å, intensity 40.0, hkl 3 1 -3
- d = 2.111 Å, intensity 40.2, hkl 0 2 0

Structure:
```
data_CeHgSe3
_space_group_name_H-M_alt 'C 1 2/m 1'
_space_group_IT_number 12
_space_group_name_Hall '-C 2y'
_cell_length_a 14.276
_cell_length_b 4.221
_cell_length_c 8.957
_cell_angle_alpha 90.00
_cell_angle_beta 91.23
_cell_angle_gamma 90.00
loop_
_atom_site_label
_atom_site_type_symbol
_atom_site_fract_x
_atom_site_fract_y
_atom_site_fract_z
_atom_site_occupancy
Ce1 Ce 0.125 0.000 0.089 1
Hg1 Hg 0.109 0.500 0.580 1
Se1 Se 0.035 0.500 0.848 1
Se2 Se 0.140 0.000 0.411 1
Se3 Se 0.250 0.000 0.839 1
```